This entry pairs a crystal structure of MnNbB4 with its calculated powder X-ray diffraction pattern. Radiation: copper Kα. Structure: a GGA-PBE-relaxed structure.
Kinematic intensities with the Lorentz-polarization factor, no thermal factor.

Structural model:
```
data_MnNbB4
_chemical_formula_sum 'Mn4 Nb4 B16'
_cell_length_a 5.719
_cell_length_b 11.107
_cell_length_c 3.205
_cell_angle_alpha 90.00
_cell_angle_beta 90.00
_cell_angle_gamma 90.00
_space_group_name_H-M_alt 'P b a m'
_space_group_IT_number 55
_space_group_name_Hall '-P 2 2ab'
loop_
_atom_site_label
_atom_site_fract_x
_atom_site_fract_y
_atom_site_fract_z
Mn1 0.133 0.089 0.000
Nb1 0.130 0.348 0.000
B1 0.022 0.805 0.500
B2 0.116 0.952 0.500
B3 0.131 0.533 0.500
B4 0.209 0.687 0.500
```

Peak list (6 most intense, 10° ≤ 2θ ≤ 80°, by intensity)
| hkl | two_theta | d [Å] | Rel. int. |
| --- | --- | --- | --- |
| 0 4 1 | 43.15 | 2.097 | 100 |
| 0 4 0 | 32.29 | 2.772 | 81 |
| 0 0 1 | 27.83 | 3.205 | 56 |
| 1 4 0 | 35.95 | 2.498 | 28 |
| 1 4 1 | 46.07 | 1.970 | 27 |
| 2 3 1 | 49.29 | 1.849 | 27 |

=====

This entry pairs a crystal structure of K3BeO3 with its calculated powder X-ray diffraction pattern. Radiation: copper Kα. Structure: a GGA-PBE-relaxed structure.
Kinematic intensities with the Lorentz-polarization factor, no thermal factor.

Structural model:
```
data_K3BeO3
_chemical_formula_sum 'K6 Be2 O6'
_cell_length_a 7.5689
_cell_length_b 7.5689
_cell_length_c 5.4625
_cell_angle_alpha 90.00
_cell_angle_beta 90.00
_cell_angle_gamma 120.00
_space_group_name_H-M_alt 'P 63/m'
_space_group_IT_number 176
_space_group_name_Hall '-P 6c'
loop_
_atom_site_label
_atom_site_fract_x
_atom_site_fract_y
_atom_site_fract_z
K1 0.0998 0.7297 0.2500
Be1 0.3333 0.6667 0.7500
O1 0.1465 0.6984 0.7500
```

Peak list (6 most intense, 10° ≤ 2θ ≤ 80°, by intensity)
| hkl | two_theta | d [Å] | Rel. int. |
| --- | --- | --- | --- |
| 2 1 0 | 36.26 | 2.478 | 100 |
| 2 1 2 | 49.68 | 1.835 | 69 |
| 0 0 2 | 32.79 | 2.731 | 67 |
| 1 1 1 | 28.70 | 3.111 | 52 |
| 2 0 1 | 31.84 | 2.810 | 46 |
| 1 1 0 | 23.51 | 3.784 | 31 |

=====

This entry pairs a crystal structure of LaTb4Y4 with its calculated powder X-ray diffraction pattern. Radiation: copper Kα. Structure: a GGA-PBE-relaxed structure.
Kinematic intensities with the Lorentz-polarization factor, no thermal factor.

Structural model:
```
data_LaTb4Y4
_chemical_formula_sum 'La2 Tb8 Y8'
_cell_length_a 10.765
_cell_length_b 10.765
_cell_length_c 5.073
_cell_angle_alpha 90.00
_cell_angle_beta 90.00
_cell_angle_gamma 90.00
_space_group_name_H-M_alt 'I 4/m m m'
_space_group_IT_number 139
_space_group_name_Hall '-I 4 2'
loop_
_atom_site_label
_atom_site_fract_x
_atom_site_fract_y
_atom_site_fract_z
La1 0.000 0.000 0.000
Tb1 0.000 0.336 0.000
Y1 0.168 0.168 0.500
```

Peak list (6 most intense, 10° ≤ 2θ ≤ 80°, by intensity)
| hkl | two_theta | d [Å] | Rel. int. |
| --- | --- | --- | --- |
| 3 0 1 | 30.51 | 2.930 | 100 |
| 3 3 0 | 35.38 | 2.537 | 50 |
| 3 0 3 | 60.52 | 1.530 | 42 |
| 6 0 0 | 50.90 | 1.794 | 36 |
| 6 0 2 | 63.51 | 1.465 | 12 |
| 0 0 4 | 74.85 | 1.269 | 6 |